Diffraction record for Tl12ZnHg6. The XRD peak list is calculated, not measured: it uses a cell relaxed with GGA-PBE and copper Kα.
Peak positions follow from Bragg's law for the DFT cell and can differ from measured ones.

Main lines, in order of rising 2θ (2θ = 10–80°):
hkl, 2θ (°), I_rel
3 -2 2, 26.87, 39
4 0 1, 29.80, 100
4 -1 2, 32.04, 72
3 2 1, 32.27, 30
0 3 3, 36.21, 83
3 3 0, 36.79, 28
2 4 1, 38.81, 29
4 4 0, 49.79, 15
6 -1 4, 56.92, 18
4 5 2, 60.44, 17

```
data_Tl12ZnHg6
_chemical_formula_sum 'Tl36 Zn3 Hg18'
_space_group_name_H-M_alt 'R -3'
_space_group_IT_number 148
_space_group_name_Hall '-R 3'
_cell_length_a 14.6516
_cell_length_b 14.6516
_cell_length_c 9.1877
_cell_angle_alpha 90.00
_cell_angle_beta 90.00
_cell_angle_gamma 120.00
loop_
_atom_site_label
_atom_site_type_symbol
_atom_site_fract_x
_atom_site_fract_y
_atom_site_fract_z
Tl1 Tl 0.0030 0.2717 0.4890
Tl2 Tl 0.0977 0.5555 0.5978
Zn1 Zn 0.0000 0.0000 0.5000
Hg1 Hg 0.0719 0.9149 0.2762
```